Diffraction record for Sr7CaTi3Mn5O24. The X-ray diffraction stick pattern is simulated, not measured: it uses a PBE+U-relaxed structure and Cu Ka.
No peak broadening, texture or thermal motion is included.

Most intense lines, 5 to 70 degrees two-theta, sorted by position:
- (4 0 0), 32.48°, I 100
- (4 0 2), 40.06°, I 16
- (4 4 0), 46.51°, I 27
- (0 0 4), 46.75°, I 13
- (6 2 2), 57.89°, I 25
- (4 0 4), 58.05°, I 12
- (8 0 0), 67.89°, I 8
- (4 4 4), 68.08°, I 15

Unit cell a=11.046 b=11.044 c=7.772 alpha=90.00 beta=90.01 gamma=90.00
Space group Cm (No. 8)
Unique sites:
1 Sr 0.000 0.000 0.000 (multiplicity 2)
2 Sr 0.000 0.000 0.493 (multiplicity 2)
3 Sr 0.002 0.500 0.493 (multiplicity 2)
4 Sr 0.251 0.251 0.000 (multiplicity 4)
5 Sr 0.251 0.251 0.493 (multiplicity 4)
6 Ca 0.003 0.500 0.001 (multiplicity 2)
7 Ti 0.001 0.251 0.747 (multiplicity 4)
8 Ti 0.252 0.000 0.747 (multiplicity 2)
9 Mn 0.001 0.251 0.246 (multiplicity 4)
10 Mn 0.251 0.500 0.246 (multiplicity 2)
11 Mn 0.251 0.500 0.747 (multiplicity 2)
12 Mn 0.252 0.000 0.246 (multiplicity 2)
13 O 0.001 0.250 0.494 (multiplicity 4)
14 O 0.001 0.252 0.999 (multiplicity 4)
15 O 0.125 0.376 0.244 (multiplicity 4)
16 O 0.126 0.125 0.246 (multiplicity 4)
17 O 0.126 0.125 0.747 (multiplicity 4)
18 O 0.127 0.377 0.748 (multiplicity 4)
19 O 0.249 0.500 0.996 (multiplicity 2)
20 O 0.251 0.000 0.494 (multiplicity 2)
21 O 0.251 0.500 0.497 (multiplicity 2)
22 O 0.253 0.000 0.999 (multiplicity 2)
23 O 0.375 0.376 0.747 (multiplicity 4)
24 O 0.376 0.375 0.246 (multiplicity 4)
25 O 0.377 0.124 0.244 (multiplicity 4)
26 O 0.377 0.124 0.748 (multiplicity 4)